1.
Calculated powder XRD pattern
Compound: LiScGa3
Radiation: Cu Kα (λ = 1.5418 Å)
Structure: a cell relaxed with PBE
Kinematic intensities with the Lorentz-polarization factor, no thermal factor.

Principal peaks in the range 10° ≤ 2θ ≤ 80°, by angle:
hkl	two_theta	I_rel
0 6 0	20.3	33
0 4 1	24.7	37
1 1 0	27.5	89
1 3 1	36.0	87
1 7 0	36.5	34
0 10 1	40.2	100
0 0 2	41.9	50
1 9 1	46.8	54
1 1 2	50.9	32
2 10 1	71.5	34

Structure:
```
data_LiScGa3
_space_group_name_H-M_alt 'C m c m'
_space_group_IT_number 63
_space_group_name_Hall '-C 2c 2'
_cell_length_a 3.264
_cell_length_b 26.254
_cell_length_c 4.312
_cell_angle_alpha 90.00
_cell_angle_beta 90.00
_cell_angle_gamma 90.00
loop_
_atom_site_label
_atom_site_type_symbol
_atom_site_fract_x
_atom_site_fract_y
_atom_site_fract_z
Li1 Li 0.000 0.077 0.250
Sc1 Sc 0.000 0.213 0.750
Ga1 Ga 0.000 0.323 0.750
Ga2 Ga 0.000 0.380 0.250
Ga3 Ga 0.000 0.476 0.250
```

2.
Calculated powder XRD pattern
Compound: LiScGaSn
Radiation: Cu Kα (λ = 1.5418 Å)
Structure: a cell relaxed with PBE
Kinematic intensities with the Lorentz-polarization factor, no thermal factor.

Principal peaks in the range 10° ≤ 2θ ≤ 80°, by angle:
hkl	two_theta	I_rel
0 1 0	20.9	13
1 0 0	21.4	33
0 1 1	29.4	31
1 1 1	36.7	100
0 0 2	41.7	17
0 2 0	42.5	16
2 0 0	43.6	15
2 1 1	53.5	12
1 1 3	72.8	13
1 3 1	74.0	13

Structure:
```
data_LiScGaSn
_space_group_name_H-M_alt 'P m m m'
_space_group_IT_number 47
_cell_length_a 4.153
_cell_length_b 4.252
_cell_length_c 4.332
_cell_angle_alpha 90.00
_cell_angle_beta 90.00
_cell_angle_gamma 90.00
loop_
_space_group_symop_operation_xyz
'x,y,z'
'-x,-y,-z'
'-x,-y,z'
'x,y,-z'
'x,-y,-z'
'-x,y,z'
'-x,y,-z'
'x,-y,z'
loop_
_atom_site_label
_atom_site_type_symbol
_atom_site_fract_x
_atom_site_fract_y
_atom_site_fract_z
Li1 Li 0.000 0.000 0.000
Sc1 Sc 0.000 0.500 0.500
Ga1 Ga 0.500 0.000 0.500
Sn1 Sn 0.500 0.500 0.000
```

3.
Calculated powder XRD pattern
Compound: LiGaSe
Radiation: Cu Kα (λ = 1.5418 Å)
Structure: a cell relaxed with PBE
Kinematic intensities with the Lorentz-polarization factor, no thermal factor.

Principal peaks in the range 10° ≤ 2θ ≤ 80°, by angle:
hkl	two_theta	I_rel
0 2 0	14.0	48
0 2 1	24.2	64
1 1 1	29.4	79
1 3 0	29.5	100
1 3 1	35.7	34
0 2 2	42.5	22
1 1 2	45.8	39
1 5 1	46.1	35
2 2 1	48.6	36
0 4 2	49.6	29

Structure:
```
data_LiGaSe
_space_group_name_H-M_alt 'C 2 2 21'
_space_group_IT_number 20
_cell_length_a 4.353
_cell_length_b 12.649
_cell_length_c 4.516
_cell_angle_alpha 90.00
_cell_angle_beta 90.00
_cell_angle_gamma 90.00
loop_
_space_group_symop_operation_xyz
'x,y,z'
'-x,-y,z+1/2'
'x,-y,-z'
'-x,y,-z+1/2'
'x+1/2,y+1/2,z'
'-x+1/2,-y+1/2,z+1/2'
'x+1/2,-y+1/2,-z'
'-x+1/2,y+1/2,-z+1/2'
loop_
_atom_site_label
_atom_site_type_symbol
_atom_site_fract_x
_atom_site_fract_y
_atom_site_fract_z
Li1 Li 0.000 0.238 0.250
Ga1 Ga 0.127 0.500 0.000
Se1 Se 0.000 0.143 0.750
```